Sn5SbSe7: calculated X-ray powder pattern (CuKα), based on a cell relaxed with PBE.

Crystal structure
Cell lengths 4.128, 13.953, 25.026 Å; angles 90.00, 90.00, 90.00 degrees
Space group Cmcm (No. 63)
Asymmetric unit:
1 Sn 0.000 0.000 0.000 x4
2 Sn 0.000 0.269 0.077 x8
3 Sn 0.000 0.463 0.650 x8
4 Sb 0.000 0.215 0.750 x4
5 Se 0.000 0.091 0.609 x8
6 Se 0.000 0.184 0.180 x8
7 Se 0.000 0.365 0.538 x8
8 Se 0.000 0.427 0.250 x4

Top 10 peaks for 10 to 90 degrees two-theta, most intense first:
| Position (°2θ) | d/Å | I_rel | (hkl) |
| --- | --- | --- | --- |
| 30.88 | 2.895 | 100 | 1 3 3 |
| 29.81 | 2.997 | 76 | 1 3 2 |
| 28.04 | 3.182 | 55 | 0 2 7 |
| 24.87 | 3.580 | 49 | 0 2 6 |
| 43.86 | 2.064 | 45 | 2 0 0 |
| 39.61 | 2.275 | 40 | 1 1 9 |
| 42.75 | 2.115 | 38 | 1 1 10 |
| 41.65 | 2.169 | 35 | 1 5 4 |
| 43.10 | 2.099 | 30 | 1 5 5 |
| 42.88 | 2.109 | 25 | 0 6 5 |


Pr12Sm2Tm: calculated X-ray powder pattern (CuKα), based on a cell relaxed with PBE.

Crystal structure
Cell lengths 6.649, 6.649, 25.691 Å; angles 90.00, 90.00, 90.00 degrees
Space group P4/nbm (No. 125, origin choice 2)
Asymmetric unit:
1 Pr 0.066 0.566 0.112 x8
2 Pr 0.082 0.582 0.563 x8
3 Pr 0.250 0.250 0.213 x4
4 Pr 0.250 0.250 0.337 x4
5 Sm 0.250 0.750 0.268 x4
6 Tm 0.250 0.750 0.000 x2

Top 10 peaks for 10 to 90 degrees two-theta, most intense first:
| Position (°2θ) | d/Å | I_rel | (hkl) |
| --- | --- | --- | --- |
| 30.89 | 2.895 | 100 | 1 1 7 |
| 27.72 | 3.219 | 42 | 2 0 2 |
| 30.27 | 2.952 | 37 | 2 0 4 |
| 38.29 | 2.351 | 31 | 2 2 0 |
| 31.34 | 2.855 | 30 | 0 0 9 |
| 28.81 | 3.099 | 29 | 2 0 3 |
| 54.18 | 1.693 | 26 | 3 1 9 |
| 33.20 | 2.698 | 26 | 2 1 4 |
| 34.86 | 2.574 | 22 | 2 1 5 |
| 20.11 | 4.415 | 21 | 1 1 2 |


TiCl3: calculated X-ray powder pattern (CuKα), based on a cell relaxed with PBE.

Crystal structure
Cell lengths 6.0857, 6.0857, 19.7593 Å; angles 90.00, 90.00, 120.00 degrees
Space group P312 (No. 149)
Asymmetric unit:
1 Ti 0.0000 0.0000 0.0000 x1
2 Ti 0.0000 0.0000 0.3337 x2
3 Ti 0.3333 0.6667 0.0000 x1
4 Ti 0.6667 0.3333 0.3337 x2
5 Cl 0.0171 0.3334 0.0712 x6
6 Cl 0.3333 0.0166 0.4048 x6
7 Cl 0.3334 0.0168 0.7374 x6

Top 10 peaks for 10 to 90 degrees two-theta, most intense first:
| Position (°2θ) | d/Å | I_rel | (hkl) |
| --- | --- | --- | --- |
| 32.41 | 2.762 | 100 | 2 -1 3 |
| 13.44 | 6.586 | 89 | 0 0 3 |
| 40.36 | 2.235 | 59 | 2 -1 6 |
| 51.32 | 1.780 | 30 | 1 1 9 |
| 52.06 | 1.757 | 27 | 3 0 0 |
| 17.41 | 5.092 | 16 | 1 0 1 |
| 62.67 | 1.482 | 11 | 2 2 3 |
| 54.02 | 1.698 | 11 | 3 0 3 |
| 19.09 | 4.650 | 11 | 1 0 2 |
| 67.86 | 1.381 | 10 | 2 2 6 |


V6As3P: calculated X-ray powder pattern (CuKα), based on a cell relaxed with PBE.

Crystal structure
Cell lengths 9.469, 11.054, 5.870 Å; angles 90.00, 90.00, 90.00 degrees
Space group Cmc2_1 (No. 36)
Asymmetric unit:
1 V 0.000 0.026 0.000 x4
2 V 0.000 0.245 0.626 x4
3 V 0.164 0.432 0.569 x8
4 V 0.171 0.254 0.031 x8
5 As 0.000 0.417 0.906 x4
6 As 0.185 0.093 0.726 x8
7 P 0.000 0.169 0.272 x4

Top 10 peaks for 10 to 90 degrees two-theta, most intense first:
| Position (°2θ) | d/Å | I_rel | (hkl) |
| --- | --- | --- | --- |
| 40.65 | 2.219 | 100 | 3 3 1 |
| 29.12 | 3.066 | 42 | 2 2 1 |
| 49.44 | 1.843 | 30 | 0 6 0 |
| 42.86 | 2.110 | 26 | 3 1 2 |
| 39.64 | 2.274 | 23 | 2 2 2 |
| 19.52 | 4.548 | 21 | 1 1 1 |
| 30.15 | 2.964 | 16 | 1 3 1 |
| 58.48 | 1.578 | 15 | 6 0 0 |
| 45.06 | 2.012 | 14 | 0 4 2 |
| 35.98 | 2.496 | 13 | 2 0 2 |


Cu2Ni5Pt4: calculated X-ray powder pattern (CuKα), based on a cell relaxed with PBE.

Crystal structure
Cell lengths 2.650, 6.478, 8.449 Å; angles 86.35, 89.94, 89.88 degrees
Space group P-1 (No. 2)
Asymmetric unit:
1 Cu 0.006 0.060 0.363 x2
2 Ni 0.000 0.429 0.287 x2
3 Ni 0.000 0.500 0.000 x1
4 Ni 0.003 0.203 0.832 x2
5 Pt 0.498 0.829 0.900 x2
6 Pt 0.499 0.704 0.436 x2

Top 10 peaks for 10 to 90 degrees two-theta, most intense first:
| Position (°2θ) | d/Å | I_rel | (hkl) |
| --- | --- | --- | --- |
| 42.19 | 2.142 | 100 | 1 1 2 |
| 44.02 | 2.057 | 99 | 0 2 -3 |
| 42.64 | 2.120 | 94 | 0 3 1 |
| 44.34 | 2.043 | 94 | 0 1 4 |
| 43.13 | 2.097 | 85 | 1 1 -2 |
| 44.20 | 2.049 | 64 | 1 -2 0 |
| 24.46 | 3.639 | 58 | 0 1 2 |
| 40.20 | 2.243 | 51 | 1 0 -2 |
| 25.96 | 3.433 | 42 | 0 1 -2 |
| 46.00 | 1.973 | 39 | 1 -2 1 |


Mg5Pd2: calculated X-ray powder pattern (CuKα), based on a cell relaxed with PBE.

Crystal structure
Cell lengths 5.055, 7.457, 7.710 Å; angles 97.87, 91.90, 108.96 degrees
Space group P-1 (No. 2)
Asymmetric unit:
1 Mg 0.078 0.309 0.062 x2
2 Mg 0.138 0.070 0.678 x2
3 Mg 0.280 0.701 0.429 x2
4 Mg 0.318 0.506 0.744 x2
5 Mg 0.421 0.067 0.174 x2
6 Pd 0.208 0.299 0.411 x2
7 Pd 0.424 0.699 0.085 x2

Top 10 peaks for 10 to 90 degrees two-theta, most intense first:
| Position (°2θ) | d/Å | I_rel | (hkl) |
| --- | --- | --- | --- |
| 38.80 | 2.321 | 100 | 1 0 -3 |
| 22.83 | 3.896 | 95 | 1 0 1 |
| 22.35 | 3.978 | 89 | -1 1 1 |
| 24.85 | 3.584 | 86 | 0 1 -2 |
| 37.63 | 2.391 | 83 | 0 2 2 |
| 25.57 | 3.483 | 64 | 0 2 0 |
| 39.91 | 2.259 | 63 | 1 -1 3 |
| 12.71 | 6.966 | 54 | 0 1 0 |
| 42.31 | 2.136 | 51 | 0 3 -2 |
| 26.97 | 3.306 | 49 | 1 1 -1 |


Y3NiBi: calculated X-ray powder pattern (CuKα), based on a cell relaxed with PBE.

Crystal structure
Cell lengths 7.633, 14.482, 4.953 Å; angles 90.00, 90.00, 90.00 degrees
Space group Cmmm (No. 65)
Asymmetric unit:
1 Y 0.000 0.126 0.000 x4
2 Y 0.202 0.500 0.500 x4
3 Y 0.250 0.250 0.500 x4
4 Ni 0.000 0.093 0.500 x4
5 Bi 0.000 0.358 0.000 x4

Top 10 peaks for 10 to 90 degrees two-theta, most intense first:
| Position (°2θ) | d/Å | I_rel | (hkl) |
| --- | --- | --- | --- |
| 34.13 | 2.627 | 100 | 2 4 0 |
| 29.55 | 3.023 | 96 | 2 0 1 |
| 30.59 | 2.923 | 96 | 0 4 1 |
| 50.66 | 1.802 | 65 | 2 4 2 |
| 36.27 | 2.477 | 52 | 0 0 2 |
| 28.34 | 3.149 | 34 | 1 3 1 |
| 59.51 | 1.553 | 33 | 2 8 1 |
| 57.69 | 1.598 | 23 | 4 4 1 |
| 23.31 | 3.817 | 21 | 2 0 0 |
| 22.26 | 3.994 | 20 | 1 1 1 |


LiLa: calculated X-ray powder pattern (CuKα), based on a cell relaxed with PBE.

Crystal structure
Cell lengths 3.405, 13.428, 4.792 Å; angles 90.00, 90.00, 90.00 degrees
Space group Cmcm (No. 63)
Asymmetric unit:
1 Li 0.000 0.187 0.250 x4
2 La 0.000 0.432 0.250 x4

Top 10 peaks for 10 to 90 degrees two-theta, most intense first:
| Position (°2θ) | d/Å | I_rel | (hkl) |
| --- | --- | --- | --- |
| 13.19 | 6.714 | 100 | 0 2 0 |
| 22.80 | 3.901 | 79 | 0 2 1 |
| 27.01 | 3.301 | 77 | 1 1 0 |
| 38.15 | 2.359 | 69 | 1 3 1 |
| 32.57 | 2.750 | 63 | 0 4 1 |
| 46.85 | 1.939 | 34 | 1 1 2 |
| 47.08 | 1.930 | 29 | 1 5 1 |
| 32.95 | 2.718 | 23 | 1 1 1 |
| 37.54 | 2.396 | 22 | 0 0 2 |
| 68.17 | 1.376 | 19 | 0 8 2 |


LiMgZnF6: calculated X-ray powder pattern (CuKα), based on a cell relaxed with PBE.

Crystal structure
Cell lengths 4.698, 4.698, 9.231 Å; angles 90.00, 90.00, 90.00 degrees
Space group P4_2nm (No. 102)
Asymmetric unit:
1 Li 0.000 0.000 0.000 x2
2 Mg 0.000 0.000 0.669 x2
3 Zn 0.000 0.000 0.332 x2
4 F 0.191 0.191 0.499 x4
5 F 0.197 0.197 0.170 x4
6 F 0.199 0.199 0.831 x4

Top 10 peaks for 10 to 90 degrees two-theta, most intense first:
| Position (°2θ) | d/Å | I_rel | (hkl) |
| --- | --- | --- | --- |
| 26.83 | 3.322 | 100 | 1 1 0 |
| 21.22 | 4.187 | 94 | 1 0 1 |
| 52.75 | 1.735 | 73 | 2 1 3 |
| 39.93 | 2.258 | 53 | 1 1 3 |
| 67.05 | 1.396 | 47 | 3 0 3 |
| 19.23 | 4.616 | 32 | 0 0 2 |
| 33.23 | 2.696 | 29 | 1 1 2 |
| 34.85 | 2.574 | 29 | 1 0 3 |
| 55.30 | 1.661 | 25 | 2 2 0 |
| 44.21 | 2.049 | 25 | 2 1 1 |


AcNd5Er: calculated X-ray powder pattern (CuKα), based on a cell relaxed with PBE.

Crystal structure
Cell lengths 8.972, 10.154, 11.829 Å; angles 90.00, 108.92, 90.00 degrees
Space group C2/c (No. 15)
Asymmetric unit:
1 Ac 0.250 0.250 0.000 x4
2 Nd 0.000 0.080 0.750 x4
3 Nd 0.126 0.428 0.670 x8
4 Nd 0.171 0.105 0.534 x8
5 Er 0.000 0.259 0.250 x4

Top 10 peaks for 10 to 90 degrees two-theta, most intense first:
| Position (°2θ) | d/Å | I_rel | (hkl) |
| --- | --- | --- | --- |
| 30.44 | 2.936 | 100 | 1 3 1 |
| 31.69 | 2.824 | 59 | 2 2 -3 |
| 30.28 | 2.952 | 45 | 2 0 2 |
| 31.51 | 2.839 | 27 | 1 1 -4 |
| 28.07 | 3.179 | 21 | 2 2 -2 |
| 44.52 | 2.035 | 20 | 4 2 -1 |
| 53.90 | 1.701 | 18 | 3 3 3 |
| 31.26 | 2.861 | 17 | 3 1 -1 |
| 24.37 | 3.652 | 16 | 1 1 -3 |
| 63.33 | 1.468 | 15 | 2 6 2 |


DyBe4Pt4: calculated X-ray powder pattern (CuKα), based on a cell relaxed with PBE.

Crystal structure
Cell lengths 7.651, 7.651, 4.489 Å; angles 90.00, 90.00, 90.00 degrees
Space group P4_2/n (No. 86, origin choice 2)
Asymmetric unit:
1 Dy 0.250 0.250 0.250 x2
2 Be 0.060 0.909 0.151 x8
3 Pt 0.115 0.883 0.647 x8

Top 10 peaks for 10 to 90 degrees two-theta, most intense first:
| Position (°2θ) | d/Å | I_rel | (hkl) |
| --- | --- | --- | --- |
| 32.92 | 2.721 | 100 | 2 1 1 |
| 37.16 | 2.419 | 58 | 3 1 0 |
| 41.95 | 2.154 | 30 | 1 0 2 |
| 38.87 | 2.317 | 29 | 2 2 1 |
| 25.79 | 3.455 | 26 | 1 1 1 |
| 47.39 | 1.918 | 25 | 2 3 1 |
| 54.46 | 1.685 | 22 | 3 0 2 |
| 16.39 | 5.410 | 21 | 1 1 0 |
| 75.15 | 1.264 | 18 | 3 4 2 |
| 69.38 | 1.354 | 17 | 5 2 1 |